Dy2Er3Tm2Ni2Te2: computed powder X-ray diffraction pattern (Cu Kα X-rays), based on a crystal structure in OQMD, relaxed with GGA-PBE.
Lines closer than 0.1° are merged.

Largest 12 diffraction maxima, in order of rising 2θ, 10° ≤ 2θ ≤ 90°:
2θ/deg, d/Å, intensity
29.0, 3.079, 22
30.3, 2.949, 21
30.5, 2.930, 51
33.2, 2.702, 78
34.2, 2.620, 100
34.7, 2.584, 71
36.8, 2.442, 21
38.7, 2.329, 18
47.4, 1.916, 29
51.4, 1.779, 18
59.1, 1.563, 30
65.7, 1.422, 17

abc: 3.8321 15.5112 9.5062
angles: 90.00 90.00 90.00
Space group Imm2 (No. 44)
Unique sites:
Dy1 0.0000 0.1853 0.0000 [4 per cell]
Er1 0.0000 0.3669 0.2037 [4 per cell]
Er2 0.0000 0.5000 0.6210 [2 per cell]
Tm1 0.0000 0.1464 0.3510 [4 per cell]
Ni1 0.0000 0.2625 0.6930 [4 per cell]
Te1 0.0000 0.0000 0.8557 [2 per cell]
Te2 0.0000 0.5000 0.9582 [2 per cell]